The following is a simulated powder XRD pattern of Sr3MgSi2O8. It was derived from a cell relaxed with GGA-PBE, using CuKα.
Intensities are scaled so that the largest is 100.

Largest 10 diffraction maxima, in order of rising 2θ, 10 to 90 degrees two-theta:
| d (Å) | 2θ (°) | Rel. int. |
| --- | --- | --- |
| 3.963 | 22.4 | 25 |
| 3.927 | 22.6 | 12 |
| 2.852 | 31.4 | 27 |
| 2.817 | 31.8 | 49 |
| 2.761 | 32.4 | 100 |
| 2.339 | 38.5 | 20 |
| 2.277 | 39.6 | 12 |
| 2.256 | 40.0 | 20 |
| 1.982 | 45.8 | 31 |
| 1.964 | 46.2 | 18 |

Crystal structure
abc: 5.5259 5.5259 14.0353
angles: 90.78 90.78 59.83
Atoms (fractional coordinates):
Sr 0.0586 0.9414 0.7500
Sr 0.3164 0.3429 0.4118
Sr 0.3429 0.3164 0.9118
Sr 0.6571 0.6836 0.0882
Sr 0.6836 0.6571 0.5882
Sr 0.9414 0.0586 0.2500
Mg 0.0000 0.0000 0.0000
Mg 0.0000 0.0000 0.5000
Si 0.3270 0.3547 0.1346
Si 0.3547 0.3270 0.6346
Si 0.6453 0.6730 0.3654
Si 0.6730 0.6453 0.8654
O 0.1530 0.2163 0.0824
O 0.1538 0.6874 0.1134
O 0.2163 0.1530 0.5824
O 0.2200 0.6296 0.5763
O 0.2621 0.4012 0.7451
O 0.3126 0.8462 0.3866
O 0.3704 0.7800 0.9237
O 0.4012 0.2621 0.2451
O 0.5988 0.7379 0.7549
O 0.6296 0.2200 0.0763
O 0.6874 0.1538 0.6134
O 0.7379 0.5988 0.2549
O 0.7800 0.3704 0.4237
O 0.7837 0.8470 0.4176
O 0.8462 0.3126 0.8866
O 0.8470 0.7837 0.9176

The following is a simulated powder XRD pattern of Sr2MgSi2O7. It was derived from a cell relaxed with GGA-PBE, using CuKα.
Intensities are scaled so that the largest is 100.

Largest 10 diffraction maxima, in order of rising 2θ, 10 to 90 degrees two-theta:
| d (Å) | 2θ (°) | Rel. int. |
| --- | --- | --- |
| 4.065 | 21.9 | 24 |
| 3.569 | 24.9 | 19 |
| 3.200 | 27.9 | 25 |
| 3.153 | 28.3 | 33 |
| 2.970 | 30.1 | 43 |
| 2.953 | 30.3 | 78 |
| 2.933 | 30.5 | 100 |
| 2.095 | 43.2 | 26 |
| 1.944 | 46.7 | 24 |
| 1.884 | 48.3 | 22 |

Crystal structure
abc: 9.4936 7.9701 10.4154
angles: 90.00 122.39 90.00
Atoms (fractional coordinates):
Sr 0.0717 0.2327 0.0235
Sr 0.0717 0.2673 0.5235
Sr 0.4249 0.5508 0.7007
Sr 0.4249 0.9492 0.2007
Sr 0.5751 0.0508 0.7993
Sr 0.5751 0.4492 0.2993
Sr 0.9283 0.7327 0.4765
Sr 0.9283 0.7673 0.9765
Mg 0.2185 0.6087 0.8842
Mg 0.2185 0.8913 0.3842
Mg 0.7815 0.1087 0.6158
Mg 0.7815 0.3913 0.1158
Si 0.1583 0.5399 0.2916
Si 0.1583 0.9601 0.7916
Si 0.3836 0.2263 0.4195
Si 0.3836 0.2737 0.9195
Si 0.6164 0.7263 0.0805
Si 0.6164 0.7737 0.5805
Si 0.8417 0.0399 0.2084
Si 0.8417 0.4601 0.7084
O 0.0040 0.5485 0.8567
O 0.0040 0.9515 0.3567
O 0.1429 0.5535 0.4404
O 0.1429 0.9465 0.9404
O 0.1872 0.7213 0.2347
O 0.1872 0.7787 0.7347
O 0.2523 0.0922 0.2908
O 0.2523 0.4078 0.7908
O 0.3273 0.0806 0.8373
O 0.3273 0.4194 0.3373
O 0.3745 0.2292 0.5707
O 0.3745 0.2708 0.0707
O 0.4357 0.6862 0.0606
O 0.4357 0.8138 0.5606
O 0.5643 0.1862 0.4394
O 0.5643 0.3138 0.9394
O 0.6255 0.7292 0.9293
O 0.6255 0.7708 0.4293
O 0.6727 0.5806 0.6627
O 0.6727 0.9194 0.1627
O 0.7477 0.5922 0.2092
O 0.7477 0.9078 0.7092
O 0.8128 0.2213 0.2653
O 0.8128 0.2787 0.7653
O 0.8571 0.0535 0.0596
O 0.8571 0.4465 0.5596
O 0.9960 0.0485 0.6433
O 0.9960 0.4515 0.1433

The following is a simulated powder XRD pattern of MgTi2Si4O12. It was derived from a cell relaxed with GGA-PBE, using CuKα.
Intensities are scaled so that the largest is 100.

Largest 10 diffraction maxima, in order of rising 2θ, 10 to 90 degrees two-theta:
| d (Å) | 2θ (°) | Rel. int. |
| --- | --- | --- |
| 6.395 | 13.8 | 39 |
| 4.392 | 20.2 | 24 |
| 3.560 | 25.0 | 21 |
| 3.046 | 29.3 | 100 |
| 2.931 | 30.5 | 54 |
| 2.511 | 35.8 | 38 |
| 2.155 | 41.9 | 23 |
| 1.949 | 46.6 | 18 |
| 1.654 | 55.6 | 22 |
| 1.645 | 55.9 | 21 |

Crystal structure
abc: 6.6356 6.6356 5.3560
angles: 105.09 105.09 82.89
Atoms (fractional coordinates):
Mg 0.0000 0.0000 0.0000
Ti 0.6222 0.3777 0.0000
Ti 0.8038 0.1962 0.5000
Si 0.1119 0.4831 0.0279
Si 0.3356 0.0688 0.4787
Si 0.5169 0.8881 0.9721
Si 0.9312 0.6644 0.5213
O 0.0569 0.6503 0.8314
O 0.0847 0.6271 0.3168
O 0.0897 0.1474 0.4073
O 0.3436 0.3790 0.0385
O 0.3497 0.9431 0.1686
O 0.3729 0.9153 0.6832
O 0.5200 0.2352 0.5955
O 0.6210 0.6564 0.9615
O 0.6987 0.0630 0.0837
O 0.7648 0.4800 0.4045
O 0.8526 0.9103 0.5927
O 0.9370 0.3013 0.9163